Starting from DFT lattice parameters and positions (PBE+U), the XRD peak list of Mn2Rh2O7 was computed for λ = 1.5418 Å (Cu Kα).
Lines closer than 0.1° are merged.

Atomic structure:
```
Mn2Rh2O7
1.0
0.0000 4.9583 4.9583
4.9583 0.0000 4.9583
4.9583 4.9583 0.0000
Mn Rh O
4 4 14
Cartesian
0.0000 0.0000 0.0000
2.4792 2.4792 0.0000
2.4792 0.0000 2.4792
0.0000 2.4792 2.4792
4.9583 2.4792 2.4792
2.4792 4.9583 2.4792
2.4792 2.4792 4.9583
4.9583 4.9583 4.9583
1.2396 1.2396 1.2396
3.7187 3.7187 1.5812
3.7187 1.5812 3.7187
5.8563 3.7187 3.7187
6.1979 6.1979 4.0604
6.1979 4.0604 6.1979
8.3354 6.1979 6.1979
1.5812 3.7187 3.7187
3.7187 5.8563 3.7187
3.7187 3.7187 5.8563
4.0604 6.1979 6.1979
6.1979 8.3354 6.1979
6.1979 6.1979 8.3354
8.6771 8.6771 8.6771
```

Peak list (10 most intense, 2θ = 5–70°, in order of rising 2θ)
d = 5.725 Å, 2θ 15.48, intensity 14
d = 2.990 Å, 2θ 29.88, intensity 14
d = 2.863 Å, 2θ 31.25, intensity 100
d = 2.479 Å, 2θ 36.23, intensity 23
d = 1.908 Å, 2θ 47.65, intensity 4
d = 1.753 Å, 2θ 52.18, intensity 53
d = 1.676 Å, 2θ 54.76, intensity 3
d = 1.495 Å, 2θ 62.08, intensity 39
d = 1.431 Å, 2θ 65.18, intensity 7
d = 1.389 Å, 2θ 67.45, intensity 2